Simulated powder diffractogram of LiVP2O7 for CuKα, from DFT lattice parameters and positions (PBE+U).
Neutral-atom scattering factors, no anomalous dispersion.

Most intense lines, 10° ≤ 2θ ≤ 80°, by intensity:
d/Å, Rel. int.
4.944, 100
4.769, 73
3.929, 52
3.492, 33
5.148, 28
3.046, 24
2.686, 24
4.123, 21
6.984, 21
2.298, 20

Crystal structure
a = 5.2276 Å, b = 8.2319 Å, c = 13.9499 Å
α = 90.00°, β = 108.95°, γ = 90.00°
Space group P2_1/c (No. 14)
Inequivalent atoms, fractional coordinates:
Li (0.0716, 0.2422, 0.2677) x4
V (0.3461, 0.6482, 0.6290) x4
P (0.2935, 0.2046, 0.0180) x4
P (0.4575, 0.0444, 0.6794) x4
O (0.0535, 0.2203, 0.9202) x4
O (0.2500, 0.0865, 0.0958) x4
O (0.2801, 0.0653, 0.7476) x4
O (0.2811, 0.6415, 0.7660) x4
O (0.3128, 0.1147, 0.5684) x4
O (0.4391, 0.6757, 0.5019) x4
O (0.4721, 0.1320, 0.3342) x4

Simulated powder diffractogram of Li2VP2O8 for CuKα, from DFT lattice parameters and positions (PBE+U).
Neutral-atom scattering factors, no anomalous dispersion.

Most intense lines, 10° ≤ 2θ ≤ 80°, by intensity:
d/Å, Rel. int.
3.621, 100
6.931, 79
3.585, 53
2.513, 39
2.357, 25
2.721, 24
1.589, 9
1.509, 9
1.496, 9
2.911, 9

Crystal structure
a = 9.0405 Å, b = 4.6240 Å, c = 13.9553 Å
α = 90.00°, β = 96.62°, γ = 90.00°
Space group Cc (No. 9)
Inequivalent atoms, fractional coordinates:
Li (0.0000, 0.0357, 0.0000) x4
Li (0.1771, 0.4394, 0.4011) x4
V (0.1616, 0.4965, 0.6683) x4
P (0.0021, 0.0220, 0.7804) x4
P (0.3241, 0.0136, 0.0503) x4
O (0.0224, 0.1320, 0.3768) x4
O (0.0537, 0.1794, 0.1991) x4
O (0.1059, 0.2955, 0.7834) x4
O (0.2055, 0.2629, 0.0383) x4
O (0.2694, 0.1874, 0.6307) x4
O (0.3352, 0.1773, 0.4632) x4
O (0.3405, 0.3790, 0.2502) x4
O (0.4776, 0.1537, 0.0848) x4